Simulated powder diffraction line list
Compound: Pr2MoO5
Radiation: a wavelength of 1.5418 Å
Structure: the PBE+U geometry in Alexandria

Top 10 peaks for 10 to 90 degrees two-theta, sorted by position:
(hkl), Position (°2θ), intensity
0 2 0, 25.99, 17
0 0 2, 29.27, 43
3 0 1, 30.72, 100
1 2 1, 31.25, 61
2 2 0, 31.72, 39
3 2 1, 40.65, 53
2 2 2, 43.70, 34
0 4 0, 53.45, 16
6 0 0, 55.56, 33
3 4 1, 62.93, 26

Lattice parameters (Å, degrees): 9.9282 6.8567 6.1033 90.00 90.00 90.00
Space group Pnma (No. 62)
Symmetry-distinct sites (fractional):
Pr 0.1714 0.0019 0.0411 [8 per cell]
Mo 0.0003 0.2500 0.5515 [4 per cell]
O 0.0052 0.2500 0.9207 [4 per cell]
O 0.0813 0.5317 0.6594 [8 per cell]
O 0.1832 0.2500 0.3527 [4 per cell]
O 0.2041 0.7500 0.3310 [4 per cell]

Simulated powder diffraction line list
Compound: Pr2Mo4O15
Radiation: a wavelength of 1.5418 Å
Structure: the PBE+U geometry in Alexandria

Top 10 peaks for 10 to 90 degrees two-theta, sorted by position:
(hkl), Position (°2θ), intensity
0 0 3, 22.34, 100
2 0 0, 23.85, 36
2 0 1, 24.25, 62
0 2 1, 24.42, 30
1 2 0, 25.13, 60
1 1 3, 26.34, 39
0 2 2, 27.61, 28
1 1 -3, 28.55, 51
2 0 -2, 29.51, 31
2 2 0, 31.84, 27

Lattice parameters (Å, degrees): 7.5397 7.6747 12.0029 88.91 84.04 84.26
Space group P-1 (No. 2)
Symmetry-distinct sites (fractional):
Pr 0.1807 0.0881 0.2232 [2 per cell]
Pr 0.2519 0.5862 0.7776 [2 per cell]
Mo 0.0618 0.7507 0.4749 [2 per cell]
Mo 0.2297 0.5699 0.1281 [2 per cell]
Mo 0.2711 0.0731 0.8708 [2 per cell]
Mo 0.4030 0.3334 0.4678 [2 per cell]
O 0.0768 0.4067 0.1800 [2 per cell]
O 0.0822 0.7389 0.6229 [2 per cell]
O 0.1215 0.9486 0.4060 [2 per cell]
O 0.1445 0.9054 0.8170 [2 per cell]
O 0.1661 0.7819 0.1865 [2 per cell]
O 0.1678 0.2885 0.5538 [2 per cell]
O 0.2030 0.5734 0.4134 [2 per cell]
O 0.2132 0.0976 0.0174 [2 per cell]
O 0.2259 0.5921 0.9806 [2 per cell]
O 0.2278 0.2829 0.8053 [2 per cell]
O 0.3620 0.2370 0.3396 [2 per cell]
O 0.4179 0.5210 0.5970 [2 per cell]
O 0.4500 0.4907 0.1583 [2 per cell]
O 0.4659 0.8291 0.4707 [2 per cell]
O 0.4977 0.0014 0.1572 [2 per cell]

Simulated powder diffraction line list
Compound: RbPrMo2O8
Radiation: a wavelength of 1.5418 Å
Structure: the PBE+U geometry in Alexandria

Top 10 peaks for 10 to 90 degrees two-theta, sorted by position:
(hkl), Position (°2θ), intensity
1 0 1, 16.47, 10
1 1 2, 26.76, 100
2 0 0, 27.61, 36
2 2 0, 39.45, 15
2 0 4, 46.72, 24
3 1 2, 48.31, 36
2 2 4, 55.13, 13
4 2 0, 64.50, 9
3 1 6, 74.68, 11
5 1 2, 77.91, 9

Lattice parameters (Å, degrees): 6.4605 6.4605 9.7399 90.00 90.00 90.00
Space group P4/nnc (No. 126, origin choice 2)
Symmetry-distinct sites (fractional):
Rb 0.2500 0.2500 0.2500 [2 per cell]
Pr 0.2500 0.2500 0.7500 [2 per cell]
Mo 0.2500 0.7500 0.0000 [4 per cell]
O 0.0548 0.6404 0.1100 [16 per cell]

Simulated powder diffraction line list
Compound: PrSc2MoO8
Radiation: a wavelength of 1.5418 Å
Structure: the PBE+U geometry in Alexandria

Top 10 peaks for 10 to 90 degrees two-theta, sorted by position:
(hkl), Position (°2θ), intensity
1 1 0, 18.26, 39
2 0 0, 25.94, 100
0 0 2, 26.25, 10
1 1 2, 32.17, 75
2 2 0, 37.01, 17
0 2 2, 37.21, 22
3 1 0, 41.61, 13
3 1 2, 49.84, 66
0 2 4, 60.87, 16
3 3 2, 63.67, 21

Lattice parameters (Å, degrees): 6.8601 6.8795 6.7898 90.00 90.00 90.00
Space group Cmmm (No. 65)
Symmetry-distinct sites (fractional):
Pr 0.0000 0.0000 0.0000 [2 per cell]
Sc 0.0000 0.5000 0.2648 [4 per cell]
Mo 0.0000 0.0000 0.5000 [2 per cell]
O 0.0000 0.1942 0.2942 [8 per cell]
O 0.1672 0.5000 0.0000 [4 per cell]
O 0.2109 0.5000 0.5000 [4 per cell]

Simulated powder diffraction line list
Compound: Pr2ScMoO6
Radiation: a wavelength of 1.5418 Å
Structure: the PBE+U geometry in Alexandria

Top 10 peaks for 10 to 90 degrees two-theta, sorted by position:
(hkl), Position (°2θ), intensity
0 0 2, 21.79, 14
1 1 0, 24.38, 13
0 2 0, 30.27, 20
1 1 1, 31.02, 100
2 0 -2, 31.64, 23
2 2 -2, 44.36, 20
0 0 4, 44.52, 14
1 3 0, 50.35, 13
3 1 -1, 55.92, 11
3 1 -5, 56.02, 11

Lattice parameters (Å, degrees): 5.6553 5.9051 9.9012 90.00 124.70 90.00
Space group P2_1/c (No. 14)
Symmetry-distinct sites (fractional):
Pr 0.2329 0.0575 0.2494 [4 per cell]
Sc 0.5000 0.0000 0.0000 [2 per cell]
Mo 0.0000 0.0000 0.5000 [2 per cell]
O 0.1435 0.1965 0.9435 [4 per cell]
O 0.2454 0.7038 0.9399 [4 per cell]
O 0.3639 0.0434 0.7527 [4 per cell]

Simulated powder diffraction line list
Compound: Pr2TeMo6O46
Radiation: a wavelength of 1.5418 Å
Structure: the PBE+U geometry in Alexandria

Top 10 peaks for 10 to 90 degrees two-theta, sorted by position:
(hkl), Position (°2θ), intensity
1 0 0, 10.00, 44
1 1 1, 12.66, 100
1 0 2, 17.14, 37
1 2 1, 19.29, 67
2 1 1, 19.86, 33
2 0 0, 20.08, 31
2 2 1, 23.49, 39
1 -2 0, 24.46, 35
2 0 -3, 31.78, 34
2 0 4, 34.74, 32

Lattice parameters (Å, degrees): 9.3130 9.6045 12.1252 79.44 81.63 72.55
Space group P-1 (No. 2)
Symmetry-distinct sites (fractional):
Pr 0.2277 0.2505 0.3414 [2 per cell]
Te 0.5000 0.5000 0.5000 [1 per cell]
Mo 0.2047 0.7182 0.6254 [2 per cell]
Mo 0.2744 0.8128 0.3443 [2 per cell]
Mo 0.3865 0.4049 0.7858 [2 per cell]
O 0.0230 0.6815 0.6761 [2 per cell]
O 0.0898 0.3496 0.0625 [2 per cell]
O 0.1076 0.2681 0.6500 [2 per cell]
O 0.1469 0.7479 0.4667 [2 per cell]
O 0.1625 0.8356 0.9627 [2 per cell]
O 0.1688 0.3873 0.1180 [2 per cell]
O 0.1756 0.8207 0.2337 [2 per cell]
O 0.1825 0.8990 0.6381 [2 per cell]
O 0.1927 0.2217 0.5690 [2 per cell]
O 0.2012 0.7083 0.0096 [2 per cell]
O 0.2253 0.3521 0.8384 [2 per cell]
O 0.2479 0.0022 0.3616 [2 per cell]
O 0.3009 0.4460 0.3492 [2 per cell]
O 0.3131 0.6242 0.7523 [2 per cell]
O 0.3281 0.4709 0.5986 [2 per cell]
O 0.3580 0.9646 0.8871 [2 per cell]
O 0.3846 0.5439 0.3538 [2 per cell]
O 0.4148 0.7078 0.5126 [2 per cell]
O 0.4309 0.1821 0.1856 [2 per cell]
O 0.4388 0.9276 0.7984 [2 per cell]
O 0.4786 0.3977 0.9008 [2 per cell]
O 0.4794 0.7680 0.2770 [2 per cell]
O 0.4951 0.0485 0.4586 [2 per cell]

Simulated powder diffraction line list
Compound: PrTlMo2O8
Radiation: a wavelength of 1.5418 Å
Structure: the PBE+U geometry in Alexandria

Top 10 peaks for 10 to 90 degrees two-theta, sorted by position:
(hkl), Position (°2θ), intensity
1 1 1, 20.45, 60
1 3 1, 24.31, 54
1 1 2, 27.57, 100
0 4 2, 28.19, 78
1 5 0, 28.72, 81
2 0 0, 34.11, 26
1 1 3, 36.66, 23
2 4 2, 44.81, 63
1 9 2, 50.93, 38
1 5 4, 52.61, 35

Lattice parameters (Å, degrees): 5.2573 19.2693 8.4014 90.00 90.00 90.00
Space group Pbcn (No. 60)
Symmetry-distinct sites (fractional):
Pr 0.0000 0.0055 0.2500 [4 per cell]
Tl 0.0000 0.2283 0.7500 [4 per cell]
Mo 0.0191 0.3982 0.0133 [8 per cell]
O 0.1029 0.3130 0.4806 [8 per cell]
O 0.2212 0.4024 0.8417 [8 per cell]
O 0.2349 0.4079 0.1809 [8 per cell]
O 0.2473 0.4615 0.5012 [8 per cell]

Simulated powder diffraction line list
Compound: PrTlMo2O8
Radiation: a wavelength of 1.5418 Å
Structure: the PBE+U geometry in Alexandria

Top 10 peaks for 10 to 90 degrees two-theta, sorted by position:
(hkl), Position (°2θ), intensity
1 1 2, 26.83, 100
2 0 0, 27.80, 38
2 2 0, 39.73, 16
2 0 4, 46.78, 24
3 1 2, 48.59, 37
2 2 4, 55.29, 14
1 1 6, 60.46, 9
4 2 0, 64.99, 9
3 1 6, 74.81, 11
0 0 8, 78.47, 11

Lattice parameters (Å, degrees): 6.4173 6.4173 9.7591 90.00 90.00 90.00
Space group P4/nnc (No. 126, origin choice 2)
Symmetry-distinct sites (fractional):
Pr 0.2500 0.2500 0.2500 [2 per cell]
Tl 0.2500 0.2500 0.7500 [2 per cell]
Mo 0.2500 0.7500 0.0000 [4 per cell]
O 0.0555 0.6373 0.6104 [16 per cell]